The following is a computed XRD peak list of NaLiPtO2. It was derived from a crystal structure in Alexandria, relaxed with PBE, using Cu Kα (weighted mean of Kα1 and Kα2).
Intensities are scaled so that the largest is 100.

Atomic structure:
```
NaLiPtO2
1.0
3.3224 0.0000 0.0000
0.0000 3.5792 0.0000
-1.4346 0.0000 5.5302
Na Li Pt O
1 1 1 2
Cartesian
0.0000 0.0000 0.0000
-0.7173 0.0000 2.7651
0.9439 1.7896 2.7651
-0.7180 1.7896 4.0315
2.6058 1.7896 1.4988
```

The 10 most intense peaks (5° ≤ 2θ ≤ 70°), sorted by position:
d [Å]	two_theta	intensity
5.530	16.0	100
3.579	24.9	45
3.144	28.4	29
3.005	29.7	69
2.765	32.4	21
2.519	35.6	23
2.392	37.6	30
2.060	44.0	18
2.004	45.3	27
1.661	55.3	21